Entry 1:
Sc5ZnTe2: computed powder X-ray diffraction pattern (a wavelength of 1.5418 Å), based on DFT lattice parameters and positions (GGA-PBE).
No peak broadening, texture or thermal motion is included.

```
data_Sc5ZnTe2
_cell_length_a 5.308
_cell_length_b 13.498
_cell_length_c 12.527
_cell_angle_alpha 90.00
_cell_angle_beta 90.00
_cell_angle_gamma 90.00
_space_group_name_H-M_alt 'C m c m'
_space_group_IT_number 63
_space_group_name_Hall '-C 2c 2'
loop_
_atom_site_label
_atom_site_fract_x
_atom_site_fract_y
_atom_site_fract_z
Sc1 0.000 0.081 0.115
Sc2 0.000 0.308 0.750
Sc3 0.000 0.317 0.030
Zn1 0.000 0.238 0.250
Te1 0.000 0.132 0.604
```

Main lines, low angle first (2θ = 10–90°):
2θ = 13.12°, d 6.749, rel. 51.6
2θ = 17.96°, d 4.940, rel. 100.0
2θ = 25.08°, d 3.551, rel. 65.5
2θ = 33.77°, d 2.654, rel. 77.6
2θ = 33.89°, d 2.645, rel. 68.7
2θ = 37.37°, d 2.406, rel. 35.2
2θ = 38.08°, d 2.363, rel. 39.3
2θ = 38.93°, d 2.313, rel. 44.6
2θ = 39.25°, d 2.296, rel. 36.1
2θ = 43.37°, d 2.086, rel. 31.7

***

Entry 2:
Tb8YEr2: computed powder X-ray diffraction pattern (a wavelength of 1.5418 Å), based on DFT lattice parameters and positions (GGA-PBE).
No peak broadening, texture or thermal motion is included.

```
data_Tb8YEr2
_cell_length_a 9.056
_cell_length_b 16.453
_cell_length_c 5.901
_cell_angle_alpha 90.00
_cell_angle_beta 125.91
_cell_angle_gamma 90.00
_space_group_name_H-M_alt 'C 1 2/m 1'
_space_group_IT_number 12
_space_group_name_Hall '-C 2y'
loop_
_atom_site_label
_atom_site_fract_x
_atom_site_fract_y
_atom_site_fract_z
Tb1 0.000 0.205 0.000
Tb2 0.060 0.500 0.790
Tb3 0.219 0.122 0.692
Y1 0.000 0.000 0.000
Er1 0.000 0.311 0.500
```

Main lines, low angle first (2θ = 10–90°):
2θ = 28.15°, d 3.170, rel. 21.7
2θ = 28.63°, d 3.118, rel. 21.5
2θ = 30.23°, d 2.957, rel. 70.0
2θ = 30.39°, d 2.941, rel. 37.1
2θ = 31.14°, d 2.872, rel. 100.0
2θ = 32.16°, d 2.784, rel. 59.9
2θ = 32.33°, d 2.769, rel. 51.0
2θ = 32.71°, d 2.738, rel. 74.8
2θ = 37.60°, d 2.392, rel. 26.4
2θ = 61.60°, d 1.506, rel. 23.7

***

Entry 3:
Ta3Tc: computed powder X-ray diffraction pattern (a wavelength of 1.5418 Å), based on DFT lattice parameters and positions (GGA-PBE).
No peak broadening, texture or thermal motion is included.

```
data_Ta3Tc
_cell_length_a 6.492
_cell_length_b 6.492
_cell_length_c 6.492
_cell_angle_alpha 90.00
_cell_angle_beta 90.00
_cell_angle_gamma 90.00
_space_group_name_H-M_alt 'F m -3 m'
_space_group_IT_number 225
_space_group_name_Hall '-F 4 2 3'
loop_
_atom_site_label
_atom_site_fract_x
_atom_site_fract_y
_atom_site_fract_z
Ta1 0.000 0.000 0.000
Ta2 0.250 0.250 0.250
Tc1 0.000 0.000 0.500
```

Main lines, low angle first (2θ = 10–90°):
2θ = 23.74°, d 3.748, rel. 3.5
2θ = 27.48°, d 3.246, rel. 1.8
2θ = 39.25°, d 2.295, rel. 100.0
2θ = 46.39°, d 1.957, rel. 1.9
2θ = 56.72°, d 1.623, rel. 17.2
2θ = 62.34°, d 1.489, rel. 0.8
2θ = 64.15°, d 1.452, rel. 0.8
2θ = 71.14°, d 1.325, rel. 35.0
2θ = 84.40°, d 1.148, rel. 11.3
2θ = 89.26°, d 1.097, rel. 0.7

***

Entry 4:
Ce2Sc4Ge3O2: computed powder X-ray diffraction pattern (a wavelength of 1.5418 Å), based on DFT lattice parameters and positions (GGA-PBE).
No peak broadening, texture or thermal motion is included.

```
data_Ce2Sc4Ge3O2
_cell_length_a 4.303
_cell_length_b 4.303
_cell_length_c 23.399
_cell_angle_alpha 90.00
_cell_angle_beta 90.00
_cell_angle_gamma 90.00
_space_group_name_H-M_alt 'I 4/m m m'
_space_group_IT_number 139
_space_group_name_Hall '-I 4 2'
loop_
_atom_site_label
_atom_site_fract_x
_atom_site_fract_y
_atom_site_fract_z
Ce1 0.000 0.000 0.196
Sc1 0.000 0.500 0.078
Ge1 0.000 0.000 0.334
Ge2 0.000 0.000 0.500
O1 0.000 0.000 0.088
```

Main lines, low angle first (2θ = 10–90°):
2θ = 23.61°, d 3.768, rel. 37.3
2θ = 29.35°, d 3.043, rel. 51.7
2θ = 30.35°, d 2.945, rel. 68.0
2θ = 30.56°, d 2.925, rel. 27.5
2θ = 33.96°, d 2.640, rel. 76.7
2θ = 37.49°, d 2.399, rel. 100.0
2θ = 41.99°, d 2.152, rel. 76.9
2θ = 55.06°, d 1.668, rel. 37.2
2θ = 60.89°, d 1.521, rel. 24.3
2θ = 73.75°, d 1.285, rel. 26.1